Record 1
Starting from a cell relaxed with PBE, the powder X-ray diffraction pattern of EuAl2H6 was calculated for Cu Kα.

Structural model:
abc: 5.097 5.097 5.097
angles: 60.00 60.00 60.00
Element x y z (fractional)
Eu 0.000 0.000 0.000
Al 0.250 0.250 0.250
Al 0.750 0.750 0.750
H 0.289 0.289 0.711
H 0.289 0.711 0.289
H 0.289 0.711 0.711
H 0.711 0.289 0.289
H 0.711 0.289 0.711
H 0.711 0.711 0.289

Principal peaks in the range 5 to 70 degrees two-theta, in order of rising 2θ:
d 4.162, I 100
d 3.604, I 24
d 2.549, I 80
d 2.174, I 57
d 2.081, I 6
d 1.802, I 15
d 1.654, I 24
d 1.612, I 10
d 1.471, I 29
d 1.387, I 18

=====

Record 2
Starting from a cell relaxed with PBE, the powder X-ray diffraction pattern of YU2S3O2 was calculated for Cu Kα.

Structural model:
abc: 3.813 3.813 21.210
angles: 90.00 90.00 90.00
Element x y z (fractional)
Y 0.000 0.000 0.000
Y 0.500 0.500 0.500
U 0.000 0.000 0.313
U 0.000 0.000 0.687
U 0.500 0.500 0.187
U 0.500 0.500 0.813
S 0.000 0.000 0.129
S 0.000 0.000 0.500
S 0.000 0.000 0.871
S 0.500 0.500 0.000
S 0.500 0.500 0.371
S 0.500 0.500 0.629
O 0.000 0.500 0.250
O 0.000 0.500 0.750
O 0.500 0.000 0.250
O 0.500 0.000 0.750

Principal peaks in the range 5 to 70 degrees two-theta, in order of rising 2θ:
d 10.605, I 93
d 3.535, I 29
d 3.356, I 100
d 2.836, I 57
d 2.696, I 59
d 2.372, I 17
d 2.144, I 40
d 1.906, I 26
d 1.658, I 29
d 1.582, I 21

=====

Record 3
Starting from a cell relaxed with PBE, the powder X-ray diffraction pattern of LiSn7 was calculated for Cu Kα.

Structural model:
abc: 6.688 6.688 6.688
angles: 60.00 60.00 60.00
Element x y z (fractional)
Li 0.000 0.000 0.000
Sn 0.000 0.000 0.500
Sn 0.000 0.500 0.000
Sn 0.000 0.500 0.500
Sn 0.500 0.000 0.000
Sn 0.500 0.000 0.500
Sn 0.500 0.500 0.000
Sn 0.500 0.500 0.500

Principal peaks in the range 5 to 70 degrees two-theta, in order of rising 2θ:
d 5.461, I 10
d 4.729, I 5
d 3.344, I 5
d 2.852, I 6
d 2.730, I 100
d 2.365, I 51
d 2.170, I 3
d 1.672, I 36
d 1.426, I 43
d 1.365, I 13

=====

Record 4
Starting from a cell relaxed with PBE, the powder X-ray diffraction pattern of Mn3Ge was calculated for Cu Kα.

Structural model:
abc: 3.645 3.645 3.645
angles: 90.00 90.00 90.00
Element x y z (fractional)
Mn 0.000 0.000 0.500
Mn 0.000 0.500 0.000
Mn 0.500 0.000 0.000
Ge 0.500 0.500 0.500

Principal peaks in the range 5 to 70 degrees two-theta, in order of rising 2θ:
d 3.645, I 2
d 2.577, I 2
d 2.104, I 100
d 1.822, I 47
d 1.630, I 1
d 1.488, I 1

=====

Record 5
Starting from a cell relaxed with PBE, the powder X-ray diffraction pattern of TbLuHf was calculated for Cu Kα.

Structural model:
abc: 3.345 3.345 14.658
angles: 90.00 90.00 90.00
Element x y z (fractional)
Tb 0.000 0.000 0.000
Tb 0.500 0.500 0.500
Lu 0.000 0.000 0.311
Lu 0.500 0.500 0.811
Hf 0.000 0.000 0.659
Hf 0.500 0.500 0.159

Principal peaks in the range 5 to 70 degrees two-theta, in order of rising 2θ:
d 7.329, I 3
d 2.760, I 100
d 2.443, I 16
d 2.366, I 34
d 2.205, I 3
d 1.699, I 22
d 1.673, I 12
d 1.464, I 12
d 1.431, I 27
d 1.380, I 11

=====

Record 6
Starting from a cell relaxed with PBE, the powder X-ray diffraction pattern of LiNdPa2O8 was calculated for Cu Kα.

Structural model:
abc: 5.654 5.654 5.747
angles: 90.00 90.00 120.00
Element x y z (fractional)
Li 0.000 0.000 0.000
Nd 0.000 0.000 0.500
Pa 0.333 0.667 0.902
Pa 0.667 0.333 0.098
O 0.060 0.336 0.175
O 0.277 0.940 0.175
O 0.333 0.667 0.559
O 0.336 0.277 0.825
O 0.664 0.723 0.175
O 0.667 0.333 0.441
O 0.723 0.060 0.825
O 0.940 0.664 0.825

Principal peaks in the range 5 to 70 degrees two-theta, in order of rising 2θ:
d 5.747, I 19
d 3.727, I 100
d 2.827, I 61
d 2.478, I 29
d 2.252, I 33
d 2.015, I 17
d 1.864, I 16
d 1.784, I 16
d 1.762, I 27
d 1.632, I 16

=====

Record 7
Starting from a cell relaxed with PBE, the powder X-ray diffraction pattern of Cs9RbNa4 was calculated for Cu Kα.

Structural model:
abc: 15.204 15.204 15.204
angles: 116.61 116.61 95.99
Element x y z (fractional)
Cs 0.000 0.500 0.500
Cs 0.056 0.556 0.209
Cs 0.060 0.804 0.864
Cs 0.152 0.944 0.500
Cs 0.196 0.060 0.256
Cs 0.304 0.560 0.864
Cs 0.348 0.848 0.791
Cs 0.440 0.304 0.744
Cs 0.444 0.652 0.500
Cs 0.500 0.000 0.500
Cs 0.556 0.348 0.500
Cs 0.560 0.696 0.256
Cs 0.652 0.152 0.209
Cs 0.696 0.440 0.136
Cs 0.804 0.940 0.744
Cs 0.848 0.056 0.500
Cs 0.940 0.196 0.136
Cs 0.944 0.444 0.791
Rb 0.250 0.250 0.000
Rb 0.750 0.750 0.000
Na 0.086 0.235 0.500
Na 0.235 0.735 0.149
Na 0.265 0.414 0.500
Na 0.414 0.914 0.149
Na 0.586 0.086 0.851
Na 0.735 0.586 0.500
Na 0.765 0.265 0.851
Na 0.914 0.765 0.500

Principal peaks in the range 5 to 70 degrees two-theta, in order of rising 2θ:
d 5.088, I 33
d 4.929, I 24
d 4.525, I 100
d 3.807, I 22
d 3.766, I 26
d 3.713, I 45
d 3.537, I 49
d 3.365, I 31
d 2.820, I 18
d 2.398, I 27

=====

Record 8
Starting from a cell relaxed with PBE, the powder X-ray diffraction pattern of SrEr2Cd9 was calculated for Cu Kα.

Structural model:
abc: 10.101 10.101 10.101
angles: 34.72 34.72 34.72
Element x y z (fractional)
Sr 0.000 0.000 0.000
Er 0.146 0.146 0.146
Er 0.854 0.854 0.854
Cd 0.077 0.591 0.591
Cd 0.336 0.336 0.336
Cd 0.409 0.409 0.923
Cd 0.409 0.923 0.409
Cd 0.500 0.500 0.500
Cd 0.591 0.077 0.591
Cd 0.591 0.591 0.077
Cd 0.664 0.664 0.664
Cd 0.923 0.409 0.409

Principal peaks in the range 5 to 70 degrees two-theta, in order of rising 2θ:
d 3.207, I 13
d 3.014, I 28
d 2.939, I 13
d 2.599, I 28
d 2.543, I 100
d 2.450, I 20
d 2.372, I 53
d 2.317, I 16
d 1.633, I 25
d 1.507, I 25

=====

Record 9
Starting from a cell relaxed with PBE, the powder X-ray diffraction pattern of MgSc3O was calculated for Cu Kα.

Structural model:
abc: 5.271 6.528 5.831
angles: 90.00 90.07 90.00
Element x y z (fractional)
Mg 0.000 0.000 0.000
Mg 0.492 0.000 0.650
Sc 0.000 0.254 0.479
Sc 0.000 0.746 0.479
Sc 0.012 0.500 0.013
Sc 0.494 0.257 0.173
Sc 0.494 0.743 0.173
Sc 0.514 0.500 0.645
O 0.253 0.500 0.334
O 0.901 0.500 0.687

Principal peaks in the range 5 to 70 degrees two-theta, in order of rising 2θ:
d 6.528, I 28
d 2.848, I 25
d 2.636, I 39
d 2.551, I 52
d 2.506, I 100
d 1.935, I 20
d 1.670, I 21
d 1.495, I 19
d 1.411, I 18
d 1.375, I 13

=====

Record 10
Starting from a cell relaxed with PBE, the powder X-ray diffraction pattern of Ac2La2Ge was calculated for Cu Kα.

Structural model:
abc: 4.208 4.208 20.968
angles: 90.00 90.00 90.00
Element x y z (fractional)
Ac 0.000 0.000 0.080
Ac 0.000 0.000 0.920
Ac 0.500 0.500 0.420
Ac 0.500 0.500 0.580
La 0.000 0.500 0.250
La 0.000 0.500 0.750
La 0.500 0.000 0.250
La 0.500 0.000 0.750
Ge 0.000 0.000 0.500
Ge 0.500 0.500 0.000

Principal peaks in the range 5 to 70 degrees two-theta, in order of rising 2θ:
d 4.126, I 69
d 3.495, I 49
d 2.971, I 69
d 2.862, I 100
d 2.588, I 33
d 2.440, I 44
d 2.104, I 38
d 1.802, I 31
d 1.716, I 40
d 1.593, I 25

=====

Record 11
Starting from a cell relaxed with PBE, the powder X-ray diffraction pattern of Ca2InAg7 was calculated for Cu Kα.

Structural model:
abc: 7.305 7.305 7.305
angles: 60.00 60.00 60.00
Element x y z (fractional)
Ca 0.250 0.250 0.250
Ca 0.750 0.750 0.750
In 0.000 0.000 0.000
Ag 0.252 0.252 0.748
Ag 0.252 0.748 0.252
Ag 0.252 0.748 0.748
Ag 0.500 0.500 0.500
Ag 0.748 0.252 0.252
Ag 0.748 0.252 0.748
Ag 0.748 0.748 0.252

Principal peaks in the range 5 to 70 degrees two-theta, in order of rising 2θ:
d 5.165, I 79
d 3.652, I 4
d 2.982, I 57
d 2.583, I 100
d 2.310, I 41
d 1.826, I 68
d 1.722, I 20
d 1.557, I 22
d 1.491, I 23
d 1.433, I 9

=====

Record 12
Starting from a cell relaxed with PBE, the powder X-ray diffraction pattern of TmSc2Cd6 was calculated for Cu Kα.

Structural model:
abc: 8.476 8.476 3.279
angles: 90.00 90.00 120.00
Element x y z (fractional)
Tm 0.000 0.000 0.000
Sc 0.333 0.667 0.000
Sc 0.667 0.333 0.000
Cd 0.000 0.336 0.500
Cd 0.000 0.664 0.500
Cd 0.336 0.000 0.500
Cd 0.336 0.336 0.500
Cd 0.664 0.000 0.500
Cd 0.664 0.664 0.500

Principal peaks in the range 5 to 70 degrees two-theta, in order of rising 2θ:
d 7.341, I 20
d 3.279, I 15
d 2.593, I 93
d 2.447, I 100
d 1.961, I 21
d 1.780, I 29
d 1.639, I 9
d 1.439, I 28
d 1.413, I 18
d 1.362, I 29

=====

Record 13
Starting from a cell relaxed with PBE, the powder X-ray diffraction pattern of AlBi12O20 was calculated for Cu Kα.

Structural model:
abc: 8.838 8.838 8.838
angles: 109.47 109.47 109.47
Element x y z (fractional)
Al 0.000 0.000 0.000
Bi 0.140 0.835 0.326
Bi 0.165 0.306 0.491
Bi 0.185 0.694 0.860
Bi 0.306 0.491 0.165
Bi 0.326 0.140 0.835
Bi 0.491 0.165 0.306
Bi 0.509 0.815 0.674
Bi 0.674 0.509 0.815
Bi 0.694 0.860 0.185
Bi 0.815 0.674 0.509
Bi 0.835 0.326 0.140
Bi 0.860 0.185 0.694
O 0.000 0.000 0.385
O 0.000 0.000 0.796
O 0.000 0.385 0.000
O 0.000 0.796 0.000
O 0.122 0.355 0.739
O 0.204 0.204 0.204
O 0.233 0.878 0.617
O 0.261 0.615 0.383
O 0.355 0.739 0.122
O 0.383 0.261 0.615
O 0.385 0.000 0.000
O 0.385 0.645 0.767
O 0.615 0.383 0.261
O 0.615 0.615 0.615
O 0.617 0.233 0.878
O 0.645 0.767 0.385
O 0.739 0.122 0.355
O 0.767 0.385 0.645
O 0.796 0.000 0.000
O 0.878 0.617 0.233

Principal peaks in the range 5 to 70 degrees two-theta, in order of rising 2θ:
d 3.608, I 26
d 3.227, I 100
d 2.946, I 22
d 2.727, I 67
d 2.176, I 15
d 2.001, I 13
d 1.750, I 46
d 1.701, I 18
d 1.656, I 29
d 1.505, I 21